# 1
For Pr2YTm3, the GGA-PBE geometry in Alexandria gives the calculated powder X-ray diffraction pattern in this record (Cu Kα (λ = 1.5418 Å)).
Peak positions follow from Bragg's law for the DFT cell and can differ from measured ones.

Structural model:
a b c (Å): 9.0881 9.0881 14.2405
angles (deg): 116.72 116.72 22.22
Element x y z (fractional)
Pr: 0.1552 0.1552 0.4677
Pr: 0.3192 0.3192 0.1198
Pr: 0.6808 0.6808 0.8802
Pr: 0.8448 0.8448 0.5323
Y: 0.0625 0.0625 0.6424
Y: 0.9375 0.9375 0.3576
Tm: 0.0981 0.0981 0.0262
Tm: 0.2368 0.2368 0.2919
Tm: 0.4605 0.4605 0.7939
Tm: 0.5395 0.5395 0.2061
Tm: 0.7632 0.7632 0.7081
Tm: 0.9019 0.9019 0.9738

Main lines, low angle first (15 to 90 degrees two-theta):
2θ (°), I_rel
27.7, 34
28.4, 41
30.6, 100
31.7, 89
31.8, 88
32.0, 41
33.2, 50
62.4, 58

=====

# 2
For CaAc7Pb4, the GGA-PBE geometry in Alexandria gives the calculated powder X-ray diffraction pattern in this record (Cu Kα (λ = 1.5418 Å)).
Peak positions follow from Bragg's law for the DFT cell and can differ from measured ones.

Structural model:
a b c (Å): 8.6631 8.6631 11.5664
angles (deg): 122.36 122.36 42.88
Element x y z (fractional)
Ca: 0.0000 0.0000 0.0000
Ac: 0.0589 0.0589 0.3833
Ac: 0.2077 0.2077 0.8897
Ac: 0.2904 0.2904 0.3598
Ac: 0.5000 0.5000 0.0000
Ac: 0.7096 0.7096 0.6402
Ac: 0.7923 0.7923 0.1103
Ac: 0.9411 0.9411 0.6167
Pb: 0.3055 0.3055 0.6700
Pb: 0.4370 0.4370 0.2458
Pb: 0.5630 0.5630 0.7542
Pb: 0.6945 0.6945 0.3300

Main lines, low angle first (15 to 90 degrees two-theta):
2θ (°), I_rel
25.5, 69
27.3, 61
28.2, 100
30.4, 84
32.4, 45
32.7, 51
37.4, 28
38.4, 48

=====

# 3
For Na7Tl2Pd2, the GGA-PBE geometry in Alexandria gives the calculated powder X-ray diffraction pattern in this record (Cu Kα (λ = 1.5418 Å)).
Peak positions follow from Bragg's law for the DFT cell and can differ from measured ones.

Structural model:
a b c (Å): 7.9702 7.9702 5.2295
angles (deg): 109.01 109.01 71.91
Element x y z (fractional)
Na: 0.0000 0.0000 0.0000
Na: 0.1424 0.5737 0.8586
Na: 0.1475 0.1475 0.6467
Na: 0.4263 0.8576 0.1414
Na: 0.5737 0.1424 0.8586
Na: 0.8525 0.8525 0.3533
Na: 0.8576 0.4263 0.1414
Tl: 0.3513 0.3513 0.3529
Tl: 0.6487 0.6487 0.6471
Pd: 0.2619 0.7381 0.5000
Pd: 0.7381 0.2619 0.5000

Main lines, low angle first (15 to 90 degrees two-theta):
2θ (°), I_rel
18.6, 52
19.4, 39
24.3, 16
24.5, 22
34.3, 100
36.0, 14
38.5, 14
61.5, 13

=====

# 4
For Fe2Ni3As3, the GGA-PBE geometry in Alexandria gives the calculated powder X-ray diffraction pattern in this record (Cu Kα (λ = 1.5418 Å)).
Peak positions follow from Bragg's law for the DFT cell and can differ from measured ones.

Structural model:
a b c (Å): 7.0312 7.0312 5.2040
angles (deg): 90.00 90.00 120.00
Element x y z (fractional)
Fe: 0.3333 0.6667 0.0000
Fe: 0.3333 0.6667 0.5000
Fe: 0.6667 0.3333 0.0000
Fe: 0.6667 0.3333 0.5000
Ni: 0.0000 0.3553 0.2500
Ni: 0.0000 0.6447 0.7500
Ni: 0.3553 0.0000 0.2500
Ni: 0.3553 0.3553 0.7500
Ni: 0.6447 0.0000 0.7500
Ni: 0.6447 0.6447 0.2500
As: 0.0000 0.3124 0.7500
As: 0.0000 0.6876 0.2500
As: 0.3124 0.0000 0.7500
As: 0.3124 0.3124 0.2500
As: 0.6876 0.0000 0.2500
As: 0.6876 0.6876 0.7500

Main lines, low angle first (15 to 90 degrees two-theta):
2θ (°), I_rel
25.3, 14
34.5, 25
43.3, 86
44.6, 100
57.6, 28
63.9, 23
81.3, 21
89.5, 25

=====

# 5
For Li6IrPd, the GGA-PBE geometry in Alexandria gives the calculated powder X-ray diffraction pattern in this record (Cu Kα (λ = 1.5418 Å)).
Peak positions follow from Bragg's law for the DFT cell and can differ from measured ones.

Structural model:
a b c (Å): 4.8327 4.8377 4.8381
angles (deg): 89.86 88.75 88.70
Element x y z (fractional)
Li: 0.0004 0.2448 0.4990
Li: 0.9996 0.7552 0.5010
Li: 0.2449 0.4964 0.0019
Li: 0.4987 0.9993 0.2451
Li: 0.5013 0.0007 0.7549
Li: 0.7551 0.5036 0.9981
Ir: 0.0000 0.0000 0.0000
Pd: 0.5000 0.5000 0.5000

Main lines, low angle first (15 to 90 degrees two-theta):
2θ (°), I_rel
18.4, 25
25.8, 100
26.1, 97
26.4, 95
37.2, 66
45.4, 25
45.8, 25
46.0, 24